1.
Simulated powder diffractogram of La4SiTeBr2 for CuKα, from a crystal structure in Alexandria, relaxed with PBE.

Top 10 peaks for 2θ from 10° to 90°, low angle first:
Position (°2θ), intensity, h k l
24.53, 6, 1 1 -1
28.34, 100, 1 1 1
30.63, 6, 1 1 -2
39.79, 24, 1 1 -3
40.42, 11, 2 0 2
40.69, 13, 0 2 0
41.18, 24, 3 1 -1
50.30, 13, 2 2 -2
51.23, 6, 4 0 0
58.69, 9, 2 2 2

Structure:
Cell: 7.5659 4.4345 7.9056 Å, 90.00 109.49 90.00°
Space group P2/m (No. 10)
Asymmetric unit:
La 0.2239 0.0000 0.2169 (multiplicity 2)
La 0.2385 0.5000 0.7756 (multiplicity 2)
Si 0.0000 0.5000 0.0000 (multiplicity 1)
Te 0.0000 0.0000 0.5000 (multiplicity 1)
Br 0.5000 0.0000 0.0000 (multiplicity 1)
Br 0.5000 0.5000 0.5000 (multiplicity 1)

=====

2.
Simulated powder diffractogram of Ga2Si4Mo3 for CuKα, from a crystal structure in Alexandria, relaxed with PBE.

Top 10 peaks for 2θ from 10° to 90°, low angle first:
Position (°2θ), intensity, h k l
25.55, 21, 0 2 1
25.67, 25, 1 1 1
34.93, 20, 1 1 -2
37.99, 18, 2 0 0
40.43, 100, 1 3 -1
40.60, 17, 2 0 1
41.23, 41, 0 0 3
47.20, 36, 2 0 -2
47.35, 26, 1 3 2
70.20, 14, 3 3 -1

Structure:
Cell: 4.7327 8.2220 6.5688 Å, 90.00 90.36 90.00°
Space group C2 (No. 5)
Asymmetric unit:
Ga 0.2474 0.0000 0.3380 (multiplicity 4)
Si 0.0000 0.0745 0.0000 (multiplicity 2)
Si 0.0000 0.7564 0.0000 (multiplicity 2)
Si 0.2431 0.8324 0.6689 (multiplicity 4)
Mo 0.0000 0.4126 0.0000 (multiplicity 2)
Mo 0.2499 0.1697 0.6757 (multiplicity 4)